Pr2Nd6Ru: computed X-ray diffraction stick pattern (Cu Kα (weighted mean of Kα1 and Kα2)), based on a structure optimized by DFT (PBE).
No peak broadening, texture or thermal motion is included.

Most intense lines, 15 to 90 degrees two-theta, in order of rising 2θ:
Position (°2θ)  intensity
26.07  24
28.75  22
29.74  47
30.12  62
32.11  100
36.66  38
38.11  14
40.36  24
48.61  17
51.52  17
58.25  19
59.49  16

Structure:
abc: 9.4607 17.8048 3.7457
angles: 90.00 90.00 90.00
Space group Cmmm (No. 65)
Unique sites:
Pr (0.0000, 0.1707, 0.0000) [4 per cell]
Nd (0.1649, 0.3330, 0.5000) [8 per cell]
Nd (0.2152, 0.5000, 0.0000) [4 per cell]
Ru (0.0000, 0.5000, 0.5000) [2 per cell]



PrNd3Ru: computed X-ray diffraction stick pattern (Cu Kα (weighted mean of Kα1 and Kα2)), based on a structure optimized by DFT (PBE).
No peak broadening, texture or thermal motion is included.

Most intense lines, 15 to 90 degrees two-theta, in order of rising 2θ:
Position (°2θ)  intensity
27.63  27
29.84  100
30.31  46
38.57  30
38.94  15
46.22  14
47.19  25
50.26  23
50.57  11
55.56  15
56.27  17
77.10  12

Structure:
abc: 7.8571 6.6298 6.4558
angles: 90.00 90.00 90.00
Space group Pmn2_1 (No. 31)
Unique sites:
Pr (0.0000, 0.1567, 0.0000) [2 per cell]
Nd (0.0000, 0.8407, 0.4900) [2 per cell]
Nd (0.2497, 0.3226, 0.4949) [4 per cell]
Ru (0.0000, 0.5010, 0.7445) [2 per cell]



Pr4NdRu2: computed X-ray diffraction stick pattern (Cu Kα (weighted mean of Kα1 and Kα2)), based on a structure optimized by DFT (PBE).
No peak broadening, texture or thermal motion is included.

Most intense lines, 15 to 90 degrees two-theta, in order of rising 2θ:
Position (°2θ)  intensity
26.46  28
29.11  55
29.74  100
30.74  66
33.43  66
33.57  41
34.84  74
34.95  26
35.99  76
38.71  45
45.43  28
54.49  26

Structure:
abc: 8.0525 6.7362 8.0557
angles: 90.00 112.60 90.00
Space group P2_1/m (No. 11)
Unique sites:
Pr (0.0217, 0.2500, 0.3765) [2 per cell]
Pr (0.2397, 0.7500, 0.3196) [2 per cell]
Pr (0.4126, 0.0031, 0.7572) [4 per cell]
Nd (0.1621, 0.2500, 0.0289) [2 per cell]
Ru (0.2560, 0.7500, 0.9847) [2 per cell]
Ru (0.3702, 0.2500, 0.4059) [2 per cell]



PrNd4S6: computed X-ray diffraction stick pattern (Cu Kα (weighted mean of Kα1 and Kα2)), based on a structure optimized by DFT (PBE).
No peak broadening, texture or thermal motion is included.

Most intense lines, 15 to 90 degrees two-theta, in order of rising 2θ:
Position (°2θ)  intensity
24.82  28
25.47  100
26.65  74
30.32  32
31.27  81
32.80  54
33.40  22
42.46  39
44.21  31
44.36  28
45.39  29
52.77  28

Structure:
abc: 3.9958 13.4097 20.4919
angles: 90.00 90.00 90.00
Space group Cmcm (No. 63)
Unique sites:
Pr (0.0000, 0.1541, 0.2500) [4 per cell]
Nd (0.0000, 0.0913, 0.6287) [8 per cell]
Nd (0.0000, 0.3607, 0.5404) [8 per cell]
S (0.0000, 0.0000, 0.0000) [4 per cell]
S (0.0000, 0.1929, 0.7500) [4 per cell]
S (0.0000, 0.2693, 0.0905) [8 per cell]
S (0.0000, 0.4493, 0.6681) [8 per cell]



Pr5Nd3S8: computed X-ray diffraction stick pattern (Cu Kα (weighted mean of Kα1 and Kα2)), based on a structure optimized by DFT (PBE).
No peak broadening, texture or thermal motion is included.

Most intense lines, 15 to 90 degrees two-theta, in order of rising 2θ:
Position (°2θ)  intensity
26.67  73
30.89  100
44.25  73
52.42  37
54.94  25
64.37  12
70.97  15
73.10  32
81.45  24
87.57  12

Structure:
abc: 8.1863 8.1863 20.0563
angles: 90.00 90.00 120.00
Space group R-3m (No. 166, hexagonal axes)
Unique sites:
Pr (0.0000, 0.0000, 0.0000) [3 per cell]
Pr (0.0000, 0.0000, 0.5000) [3 per cell]
Pr (0.0000, 0.5000, 0.0000) [9 per cell]
Nd (0.0000, 0.5000, 0.5000) [9 per cell]
S (0.0000, 0.0000, 0.2489) [6 per cell]
S (0.0016, 0.5008, 0.7508) [18 per cell]



SrPr2NdS4: computed X-ray diffraction stick pattern (Cu Kα (weighted mean of Kα1 and Kα2)), based on a structure optimized by DFT (PBE).
No peak broadening, texture or thermal motion is included.

Most intense lines, 15 to 90 degrees two-theta, in order of rising 2θ:
Position (°2θ)  intensity
26.33  33
26.55  32
30.62  100
43.56  12
43.86  48
44.12  12
51.74  11
52.06  11
54.19  13
54.67  12
63.75  12
72.38  21

Structure:
abc: 7.1613 4.1049 7.1685
angles: 90.00 109.10 90.00
Space group P2/m (No. 10)
Unique sites:
Sr (0.0000, 0.0000, 0.0000) [1 per cell]
Pr (0.0000, 0.5000, 0.5000) [1 per cell]
Pr (0.5000, 0.0000, 0.5000) [1 per cell]
Nd (0.5000, 0.5000, 0.0000) [1 per cell]
S (0.2528, 0.0000, 0.7515) [2 per cell]
S (0.2542, 0.5000, 0.2520) [2 per cell]